Entry 1:
# Pr2TmThSb5
Computed PXRD pattern, Cu Kα, 1.54184 Å. Input: a DFT-relaxed cell (PBE, Alexandria).
Intensities are scaled so that the largest is 100.

Cell and atoms:
Unit cell a=5.223 b=5.223 c=11.894 alpha=90.00 beta=90.00 gamma=90.00
Atoms (fractional coordinates):
1 Pr 0.000 0.000 0.215
2 Pr 0.000 0.000 0.785
3 Tm 0.500 0.500 0.000
4 Th 0.500 0.500 0.500
5 Sb 0.000 0.000 0.500
6 Sb 0.000 0.500 0.000
7 Sb 0.500 0.000 0.000
8 Sb 0.500 0.500 0.250
9 Sb 0.500 0.500 0.750

Principal peaks in the range 10° ≤ 2θ ≤ 90°, sorted by position:
3.925 Å, 22.7 deg, intensity 28
3.693 Å, 24.1 deg, intensity 96
3.527 Å, 25.2 deg, intensity 34
2.974 Å, 30.1 deg, intensity 60
2.702 Å, 33.1 deg, intensity 47
2.612 Å, 34.3 deg, intensity 100
2.316 Å, 38.9 deg, intensity 42
1.962 Å, 46.3 deg, intensity 73
1.847 Å, 49.3 deg, intensity 36
1.569 Å, 58.9 deg, intensity 36

Entry 2:
# Zr6Ir7
Computed PXRD pattern, Cu Kα, 1.54184 Å. Input: a DFT-relaxed cell (PBE, Alexandria).
Intensities are scaled so that the largest is 100.

Cell and atoms:
Unit cell a=9.887 b=9.887 c=9.887 alpha=31.46 beta=31.46 gamma=31.46
Atoms (fractional coordinates):
1 Zr 0.052 0.052 0.052
2 Zr 0.158 0.158 0.158
3 Zr 0.336 0.336 0.336
4 Zr 0.664 0.664 0.664
5 Zr 0.842 0.842 0.842
6 Zr 0.948 0.948 0.948
7 Ir 0.089 0.590 0.590
8 Ir 0.410 0.410 0.911
9 Ir 0.410 0.911 0.410
10 Ir 0.500 0.500 0.500
11 Ir 0.590 0.089 0.590
12 Ir 0.590 0.590 0.089
13 Ir 0.911 0.410 0.410

Principal peaks in the range 10° ≤ 2θ ≤ 90°, sorted by position:
4.695 Å, 18.9 deg, intensity 53
4.581 Å, 19.4 deg, intensity 41
2.347 Å, 38.3 deg, intensity 47
2.328 Å, 38.7 deg, intensity 100
2.314 Å, 38.9 deg, intensity 62
2.242 Å, 40.2 deg, intensity 41
2.146 Å, 42.1 deg, intensity 95
2.011 Å, 45.1 deg, intensity 52
1.340 Å, 70.2 deg, intensity 46
1.164 Å, 83.0 deg, intensity 31

Entry 3:
# Pr3Nd13
Computed PXRD pattern, Cu Kα, 1.54184 Å. Input: a DFT-relaxed cell (PBE, Alexandria).
Intensities are scaled so that the largest is 100.

Cell and atoms:
Unit cell a=7.424 b=8.784 c=8.784 alpha=86.07 beta=90.00 gamma=90.00
Atoms (fractional coordinates):
1 Pr 0.000 0.000 0.000
2 Pr 0.250 0.749 0.749
3 Pr 0.750 0.749 0.749
4 Nd 0.000 0.416 0.917
5 Nd 0.000 0.499 0.499
6 Nd 0.000 0.917 0.416
7 Nd 0.250 0.167 0.666
8 Nd 0.250 0.250 0.250
9 Nd 0.250 0.666 0.167
10 Nd 0.500 0.000 0.000
11 Nd 0.500 0.416 0.917
12 Nd 0.500 0.499 0.499
13 Nd 0.500 0.917 0.416
14 Nd 0.750 0.167 0.666
15 Nd 0.750 0.250 0.250
16 Nd 0.750 0.666 0.167

Principal peaks in the range 10° ≤ 2θ ≤ 90°, sorted by position:
3.212 Å, 27.8 deg, intensity 23
2.997 Å, 29.8 deg, intensity 26
2.832 Å, 31.6 deg, intensity 100
2.192 Å, 41.2 deg, intensity 16
1.855 Å, 49.1 deg, intensity 19
1.697 Å, 54.0 deg, intensity 22
1.577 Å, 58.5 deg, intensity 23
1.552 Å, 59.6 deg, intensity 16
1.190 Å, 80.7 deg, intensity 9
1.166 Å, 82.8 deg, intensity 9

Entry 4:
# Pr5Nd3Pb2
Computed PXRD pattern, Cu Kα, 1.54184 Å. Input: a DFT-relaxed cell (PBE, Alexandria).
Intensities are scaled so that the largest is 100.

Cell and atoms:
Unit cell a=10.909 b=10.909 c=10.909 alpha=105.35 beta=85.60 gamma=144.29
Atoms (fractional coordinates):
1 Pr 0.162 0.091 0.253
2 Pr 0.250 0.001 0.751
3 Pr 0.250 0.250 0.000
4 Pr 0.250 0.499 0.249
5 Pr 0.338 0.591 0.929
6 Pr 0.662 0.409 0.071
7 Pr 0.750 0.501 0.751
8 Pr 0.750 0.750 0.000
9 Pr 0.750 0.999 0.249
10 Pr 0.838 0.909 0.747
11 Nd 0.218 0.371 0.589
12 Nd 0.250 0.750 0.500
13 Nd 0.282 0.871 0.152
14 Nd 0.718 0.129 0.848
15 Nd 0.750 0.250 0.500
16 Nd 0.782 0.629 0.411
17 Pb 0.149 0.634 0.783
18 Pb 0.351 0.134 0.485
19 Pb 0.649 0.866 0.515
20 Pb 0.851 0.366 0.217

Principal peaks in the range 10° ≤ 2θ ≤ 90°, sorted by position:
4.513 Å, 19.7 deg, intensity 29
3.528 Å, 25.2 deg, intensity 38
3.086 Å, 28.9 deg, intensity 100
3.056 Å, 29.2 deg, intensity 89
2.668 Å, 33.6 deg, intensity 33
2.647 Å, 33.9 deg, intensity 73
2.566 Å, 35.0 deg, intensity 40
2.549 Å, 35.2 deg, intensity 33
2.352 Å, 38.3 deg, intensity 93
1.764 Å, 51.8 deg, intensity 55